This entry pairs a crystal structure of SrLiSi with its simulated powder diffraction line list. Radiation: Cu Kα. Structure: a cell relaxed with PBE.
Lines closer than 0.1° are merged.

Largest 10 diffraction maxima, in order of falling intensity, 10 to 80 degrees two-theta:
| 2θ/deg | I/Imax |
| --- | --- |
| 32.23 | 100 |
| 21.54 | 65 |
| 37.77 | 42 |
| 50.48 | 27 |
| 64.73 | 26 |
| 63.03 | 18 |
| 53.61 | 11 |
| 45.07 | 10 |
| 43.89 | 10 |
| 23.68 | 9 |

Cell: 4.7635 4.7635 3.7566 Å, 90.00 90.00 120.00°
Element x y z (fractional)
1 Sr 0.0000 0.0000 0.0000
2 Li 0.3333 0.6667 0.5000
3 Si 0.6667 0.3333 0.5000

***

This entry pairs a crystal structure of Sr2LiSi3 with its simulated powder diffraction line list. Radiation: Cu Kα. Structure: a cell relaxed with PBE.
Lines closer than 0.1° are merged.

Largest 10 diffraction maxima, in order of falling intensity, 10 to 80 degrees two-theta:
| 2θ/deg | I/Imax |
| --- | --- |
| 31.11 | 100 |
| 24.04 | 33 |
| 59.23 | 22 |
| 42.25 | 20 |
| 53.46 | 14 |
| 39.49 | 13 |
| 70.32 | 12 |
| 46.76 | 11 |
| 66.44 | 11 |
| 42.36 | 10 |

Cell: 11.7612 10.0760 8.5567 Å, 77.81 56.87 45.33°
Element x y z (fractional)
1 Sr 0.0009 0.0009 0.2491
2 Sr 0.2491 0.2491 0.0009
3 Sr 0.2507 0.2507 0.4993
4 Sr 0.4993 0.4993 0.2507
5 Sr 0.5007 0.5007 0.7493
6 Sr 0.7493 0.7493 0.5007
7 Sr 0.7509 0.7509 0.9991
8 Sr 0.9991 0.9991 0.7509
9 Li 0.0422 0.7078 0.0422
10 Li 0.2922 0.9578 0.2922
11 Li 0.7078 0.0422 0.7078
12 Li 0.9578 0.2922 0.9578
13 Si 0.0563 0.6994 0.5329
14 Si 0.2114 0.5329 0.6994
15 Si 0.2137 0.5363 0.2137
16 Si 0.3006 0.9437 0.7886
17 Si 0.4637 0.7863 0.4637
18 Si 0.4671 0.7886 0.9437
19 Si 0.5329 0.2114 0.0563
20 Si 0.5363 0.2137 0.5363
21 Si 0.6994 0.0563 0.2114
22 Si 0.7863 0.4637 0.7863
23 Si 0.7886 0.4671 0.3006
24 Si 0.9437 0.3006 0.4671

***

This entry pairs a crystal structure of LiYSi with its simulated powder diffraction line list. Radiation: Cu Kα. Structure: a cell relaxed with PBE.
Lines closer than 0.1° are merged.

Largest 10 diffraction maxima, in order of falling intensity, 10 to 80 degrees two-theta:
| 2θ/deg | I/Imax |
| --- | --- |
| 36.38 | 100 |
| 33.15 | 88 |
| 20.95 | 54 |
| 29.40 | 49 |
| 25.39 | 44 |
| 58.99 | 38 |
| 14.58 | 30 |
| 54.45 | 27 |
| 39.23 | 24 |
| 71.53 | 24 |

Cell: 7.0152 7.0152 4.2400 Å, 90.00 90.00 120.00°
Element x y z (fractional)
1 Li 0.0000 0.2327 0.0000
2 Li 0.2327 0.0000 0.0000
3 Li 0.7673 0.7673 0.0000
4 Y 0.0000 0.5757 0.5000
5 Y 0.4243 0.4243 0.5000
6 Y 0.5757 0.0000 0.5000
7 Si 0.0000 0.0000 0.5000
8 Si 0.3333 0.6667 0.0000
9 Si 0.6667 0.3333 0.0000

***

This entry pairs a crystal structure of LiYSi with its simulated powder diffraction line list. Radiation: Cu Kα. Structure: a cell relaxed with PBE.
Lines closer than 0.1° are merged.

Largest 10 diffraction maxima, in order of falling intensity, 10 to 80 degrees two-theta:
| 2θ/deg | I/Imax |
| --- | --- |
| 23.14 | 100 |
| 38.24 | 68 |
| 45.17 | 48 |
| 69.12 | 23 |
| 60.63 | 19 |
| 26.78 | 18 |
| 73.98 | 14 |
| 55.18 | 11 |
| 62.37 | 7 |
| 47.30 | 5 |

Cell: 6.6579 6.6579 6.6579 Å, 90.00 90.00 90.00°
Element x y z (fractional)
1 Li 0.0000 0.0000 0.0000
2 Li 0.0000 0.5000 0.5000
3 Li 0.5000 0.0000 0.5000
4 Li 0.5000 0.5000 0.0000
5 Y 0.2500 0.2500 0.2500
6 Y 0.2500 0.7500 0.7500
7 Y 0.7500 0.2500 0.7500
8 Y 0.7500 0.7500 0.2500
9 Si 0.0000 0.0000 0.5000
10 Si 0.0000 0.5000 0.0000
11 Si 0.5000 0.0000 0.0000
12 Si 0.5000 0.5000 0.5000

***

This entry pairs a crystal structure of LiY2Si2 with its simulated powder diffraction line list. Radiation: Cu Kα. Structure: a cell relaxed with PBE.
Lines closer than 0.1° are merged.

Largest 10 diffraction maxima, in order of falling intensity, 10 to 80 degrees two-theta:
| 2θ/deg | I/Imax |
| --- | --- |
| 35.28 | 100 |
| 32.91 | 34 |
| 27.86 | 27 |
| 24.87 | 25 |
| 21.22 | 23 |
| 17.51 | 20 |
| 57.44 | 20 |
| 52.70 | 15 |
| 43.21 | 15 |
| 39.81 | 15 |

Cell: 7.1610 7.1610 4.1871 Å, 90.00 90.00 90.00°
Element x y z (fractional)
1 Li 0.0000 0.0000 0.0000
2 Li 0.5000 0.5000 0.0000
3 Y 0.1789 0.3211 0.5000
4 Y 0.3211 0.8211 0.5000
5 Y 0.6789 0.1789 0.5000
6 Y 0.8211 0.6789 0.5000
7 Si 0.1182 0.6182 0.0000
8 Si 0.3818 0.1182 0.0000
9 Si 0.6182 0.8818 0.0000
10 Si 0.8818 0.3818 0.0000

***

This entry pairs a crystal structure of Li2ZnSi with its simulated powder diffraction line list. Radiation: Cu Kα. Structure: a cell relaxed with PBE.
Lines closer than 0.1° are merged.

Largest 10 diffraction maxima, in order of falling intensity, 10 to 80 degrees two-theta:
| 2θ/deg | I/Imax |
| --- | --- |
| 21.84 | 100 |
| 32.88 | 81 |
| 48.48 | 67 |
| 42.72 | 66 |
| 24.28 | 66 |
| 63.41 | 28 |
| 51.36 | 22 |
| 54.94 | 18 |
| 26.67 | 18 |
| 71.99 | 15 |

Cell: 4.2333 4.2333 16.2778 Å, 90.00 90.00 120.00°
Element x y z (fractional)
1 Li 0.3333 0.6667 0.0408
2 Li 0.3333 0.6667 0.2078
3 Li 0.3333 0.6667 0.5424
4 Li 0.3333 0.6667 0.7089
5 Li 0.6667 0.3333 0.2911
6 Li 0.6667 0.3333 0.4576
7 Li 0.6667 0.3333 0.7922
8 Li 0.6667 0.3333 0.9592
9 Zn 0.0000 0.0000 0.1225
10 Zn 0.0000 0.0000 0.3728
11 Zn 0.0000 0.0000 0.6272
12 Zn 0.0000 0.0000 0.8775
13 Si 0.3333 0.6667 0.3747
14 Si 0.3333 0.6667 0.8754
15 Si 0.6667 0.3333 0.1246
16 Si 0.6667 0.3333 0.6253

***

This entry pairs a crystal structure of Li2ZnSi with its simulated powder diffraction line list. Radiation: Cu Kα. Structure: a cell relaxed with PBE.
Lines closer than 0.1° are merged.

Largest 10 diffraction maxima, in order of falling intensity, 10 to 80 degrees two-theta:
| 2θ/deg | I/Imax |
| --- | --- |
| 11.57 | 100 |
| 42.93 | 61 |
| 41.84 | 50 |
| 23.80 | 43 |
| 33.51 | 39 |
| 26.53 | 28 |
| 43.56 | 23 |
| 77.16 | 20 |
| 61.50 | 20 |
| 53.84 | 10 |

Cell: 4.3177 4.3177 7.6505 Å, 90.00 90.00 120.00°
Element x y z (fractional)
1 Li 0.0000 0.0000 0.2359
2 Li 0.0000 0.0000 0.7641
3 Li 0.3333 0.6667 0.0787
4 Li 0.6667 0.3333 0.9213
5 Zn 0.3333 0.6667 0.4054
6 Zn 0.6667 0.3333 0.5946
7 Si 0.3333 0.6667 0.7370
8 Si 0.6667 0.3333 0.2630

***

This entry pairs a crystal structure of Li2ZnSi with its simulated powder diffraction line list. Radiation: Cu Kα. Structure: a cell relaxed with PBE.
Lines closer than 0.1° are merged.

Largest 10 diffraction maxima, in order of falling intensity, 10 to 80 degrees two-theta:
| 2θ/deg | I/Imax |
| --- | --- |
| 26.79 | 100 |
| 34.14 | 62 |
| 42.00 | 54 |
| 44.00 | 39 |
| 66.65 | 19 |
| 50.52 | 17 |
| 55.19 | 15 |
| 62.46 | 13 |
| 67.73 | 13 |
| 71.70 | 13 |

Cell: 4.3023 4.3023 7.4049 Å, 90.00 90.00 120.00°
Element x y z (fractional)
1 Li 0.3333 0.6667 0.0845
2 Li 0.3333 0.6667 0.4155
3 Li 0.6667 0.3333 0.5845
4 Li 0.6667 0.3333 0.9155
5 Zn 0.3333 0.6667 0.7500
6 Zn 0.6667 0.3333 0.2500
7 Si 0.0000 0.0000 0.0000
8 Si 0.0000 0.0000 0.5000

***

This entry pairs a crystal structure of Li2ZnSi with its simulated powder diffraction line list. Radiation: Cu Kα. Structure: a cell relaxed with PBE.
Lines closer than 0.1° are merged.

Largest 10 diffraction maxima, in order of falling intensity, 10 to 80 degrees two-theta:
| 2θ/deg | I/Imax |
| --- | --- |
| 21.70 | 100 |
| 32.81 | 81 |
| 48.45 | 66 |
| 42.77 | 65 |
| 24.31 | 64 |
| 63.21 | 28 |
| 51.10 | 25 |
| 54.93 | 18 |
| 26.66 | 17 |
| 68.77 | 16 |

Cell: 4.2285 4.2285 8.1920 Å, 90.00 90.00 120.00°
Element x y z (fractional)
1 Li 0.3333 0.6667 0.0829
2 Li 0.3333 0.6667 0.4171
3 Li 0.6667 0.3333 0.5829
4 Li 0.6667 0.3333 0.9171
5 Zn 0.0000 0.0000 0.2500
6 Zn 0.0000 0.0000 0.7500
7 Si 0.3333 0.6667 0.7500
8 Si 0.6667 0.3333 0.2500